(1)
Theoretical powder diffractogram
Compound: Cs3K4P
Radiation: Cu Kα (weighted mean of Kα1 and Kα2)
Structure: a GGA-PBE-relaxed structure

Principal peaks in the range 15 to 90 degrees two-theta, by angle:
- hkl 1 2 1, 18.58 deg, intensity 100
- hkl 1 3 0, 20.22 deg, intensity 64
- hkl 0 4 0, 22.25 deg, intensity 87
- hkl 1 0 2, 22.36 deg, intensity 76
- hkl 2 2 1, 27.22 deg, intensity 66
- hkl 1 2 4, 42.32 deg, intensity 48

Structural model:
Cell: 7.8015 15.9416 9.2495 Å, 90.00 90.00 90.00°
Space group Pmmn (No. 59, origin choice 2)
Asymmetric unit:
1 Cs 0.2500 0.0328 0.1852
2 Cs 0.2500 0.7500 0.5656
3 K 0.0077 0.2500 0.0189
4 K 0.2500 0.1276 0.5893
5 P 0.2500 0.2500 0.3060

=====

(2)
Theoretical powder diffractogram
Compound: Na2Tl3Cd2Hg4
Radiation: Cu Kα (weighted mean of Kα1 and Kα2)
Structure: a GGA-PBE-relaxed structure

Principal peaks in the range 15 to 90 degrees two-theta, by angle:
- hkl 0 1 2, 24.10 deg, intensity 42
- hkl 1 1 0, 34.20 deg, intensity 100
- hkl 1 0 4, 34.50 deg, intensity 86
- hkl 0 2 4, 49.36 deg, intensity 32
- hkl 3 0 0, 61.23 deg, intensity 19
- hkl 2 1 4, 61.42 deg, intensity 33

Structural model:
Cell: 5.2440 5.2440 12.6829 Å, 90.00 90.00 120.00°
Space group P-3m1 (No. 164)
Asymmetric unit:
1 Na 0.3333 0.6667 0.1625
2 Tl 0.0000 0.0000 0.0000
3 Tl 0.0000 0.0000 0.2728
4 Cd 0.3333 0.6667 0.6557
5 Hg 0.3333 0.6667 0.4227
6 Hg 0.3333 0.6667 0.8998

=====

(3)
Theoretical powder diffractogram
Compound: Cs5AsCl2O4
Radiation: Cu Kα (weighted mean of Kα1 and Kα2)
Structure: a GGA-PBE-relaxed structure

Principal peaks in the range 15 to 90 degrees two-theta, by angle:
- hkl 2 1 1, 24.11 deg, intensity 79
- hkl 0 0 2, 24.31 deg, intensity 45
- hkl 2 2 0, 25.16 deg, intensity 45
- hkl 0 3 1, 27.33 deg, intensity 100
- hkl 2 2 2, 35.27 deg, intensity 52
- hkl 3 3 1, 40.15 deg, intensity 29

Structural model:
Cell: 9.2884 10.9342 7.3219 Å, 90.00 90.00 90.00°
Space group Amm2 (No. 38)
Asymmetric unit:
1 Cs 0.0000 0.0000 0.0000
2 Cs 0.2956 0.1833 0.4084
3 As 0.5000 0.0000 0.9202
4 Cl 0.0000 0.2076 0.6696
5 O 0.3482 0.0000 0.0614
6 O 0.5000 0.1295 0.7813

=====

(4)
Theoretical powder diffractogram
Compound: Dy7Er2Tm4
Radiation: Cu Kα (weighted mean of Kα1 and Kα2)
Structure: a GGA-PBE-relaxed structure

Principal peaks in the range 15 to 90 degrees two-theta, by angle:
- hkl 0 0 4, 27.36 deg, intensity 20
- hkl 2 -1 1, 30.51 deg, intensity 43
- hkl 1 1 2, 32.80 deg, intensity 100
- hkl 2 -1 3, 36.33 deg, intensity 31
- hkl 1 1 6, 51.92 deg, intensity 17
- hkl 3 0 0, 52.73 deg, intensity 29

Structural model:
Cell: 6.0131 6.0131 13.0381 Å, 90.00 90.00 120.00°
Space group P-31m (No. 162)
Asymmetric unit:
1 Dy 0.0000 0.0000 0.0000
2 Dy 0.0000 0.3598 0.7823
3 Er 0.3333 0.6667 0.0000
4 Tm 0.0000 0.0000 0.3935
5 Tm 0.3333 0.6667 0.5000

=====

(5)
Theoretical powder diffractogram
Compound: TiMnAg
Radiation: Cu Kα (weighted mean of Kα1 and Kα2)
Structure: a GGA-PBE-relaxed structure

Principal peaks in the range 15 to 90 degrees two-theta, by angle:
- hkl 0 0 3, 15.29 deg, intensity 20
- hkl 1 0 4, 30.96 deg, intensity 56
- hkl 1 1 0, 40.41 deg, intensity 100
- hkl 1 0 7, 43.31 deg, intensity 67
- hkl 0 2 7, 60.72 deg, intensity 23
- hkl 2 1 7, 75.50 deg, intensity 23

Structural model:
Cell: 4.4637 4.4637 17.3810 Å, 90.00 90.00 120.00°
Space group R-3m (No. 166, hexagonal axes)
Asymmetric unit:
1 Ti 0.0000 0.0000 0.0802
2 Mn 0.0000 0.0000 0.2011
3 Ag 0.0000 0.0000 0.3656

=====

(6)
Theoretical powder diffractogram
Compound: Y13Er2
Radiation: Cu Kα (weighted mean of Kα1 and Kα2)
Structure: a GGA-PBE-relaxed structure

Principal peaks in the range 15 to 90 degrees two-theta, by angle:
- hkl 0 2 1, 29.32 deg, intensity 75
- hkl 0 0 12, 31.08 deg, intensity 100
- hkl 2 0 5, 32.03 deg, intensity 92
- hkl 0 2 7, 34.53 deg, intensity 77
- hkl 2 2 0, 51.79 deg, intensity 47
- hkl 2 2 12, 61.66 deg, intensity 48

Structural model:
Cell: 7.0615 7.0615 34.4732 Å, 90.00 90.00 120.00°
Space group R-3m (No. 166, hexagonal axes)
Asymmetric unit:
1 Y 0.0000 0.0000 0.0000
2 Y 0.9999 0.5000 0.2082
3 Y 0.0033 0.5017 0.9547
4 Er 0.0000 0.0000 0.2064

=====

(7)
Theoretical powder diffractogram
Compound: SbI4
Radiation: Cu Kα (weighted mean of Kα1 and Kα2)
Structure: a GGA-PBE-relaxed structure

Principal peaks in the range 15 to 90 degrees two-theta, by angle:
- hkl 2 1 1, 24.91 deg, intensity 100
- hkl 0 0 2, 26.67 deg, intensity 19
- hkl 2 0 2, 32.82 deg, intensity 24
- hkl 3 3 0, 40.46 deg, intensity 41
- hkl 4 1 1, 41.62 deg, intensity 28
- hkl 2 1 3, 46.05 deg, intensity 19

Structural model:
Cell: 9.4602 9.4602 6.6830 Å, 90.00 90.00 90.00°
Space group P-42_1c (No. 114)
Asymmetric unit:
1 Sb 0.0000 0.0000 0.0000
2 I 0.1604 0.1778 0.2496

=====

(8)
Theoretical powder diffractogram
Compound: DyPuTe3
Radiation: Cu Kα (weighted mean of Kα1 and Kα2)
Structure: a GGA-PBE-relaxed structure

Principal peaks in the range 15 to 90 degrees two-theta, by angle:
- hkl 0 1 2, 21.69 deg, intensity 27
- hkl 1 0 2, 27.54 deg, intensity 36
- hkl 1 2 1, 32.67 deg, intensity 100
- hkl 0 2 3, 36.43 deg, intensity 18
- hkl 1 1 3, 36.55 deg, intensity 31
- hkl 2 0 0, 41.65 deg, intensity 25

Structural model:
Cell: 4.3371 7.5925 9.7353 Å, 90.00 90.00 90.00°
Space group Pmmn (No. 59, origin choice 2)
Asymmetric unit:
1 Dy 0.2500 0.2500 0.1025
2 Pu 0.2500 0.7500 0.3436
3 Te 0.2500 0.0232 0.8309
4 Te 0.2500 0.2500 0.4319

=====

(9)
Theoretical powder diffractogram
Compound: Na2NpTiO6
Radiation: Cu Kα (weighted mean of Kα1 and Kα2)
Structure: a GGA-PBE-relaxed structure

Principal peaks in the range 15 to 90 degrees two-theta, by angle:
- hkl 1 0 0, 15.72 deg, intensity 92
- hkl 0 0 1, 20.86 deg, intensity 55
- hkl 1 1 0, 22.30 deg, intensity 94
- hkl 1 0 1, 26.22 deg, intensity 61
- hkl 1 1 1, 30.72 deg, intensity 100
- hkl 2 2 0, 45.51 deg, intensity 53

Structural model:
Cell: 5.6386 5.6386 4.2587 Å, 90.00 90.00 90.00°
Space group P4mm (No. 99)
Asymmetric unit:
1 Na 0.0000 0.5000 0.0000
2 Np 0.0000 0.0000 0.5712
3 Ti 0.5000 0.5000 0.5071
4 O 0.0000 0.0000 0.0750
5 O 0.2542 0.2542 0.5889
6 O 0.5000 0.5000 0.1002

=====

(10)
Theoretical powder diffractogram
Compound: PrY2Sc5
Radiation: Cu Kα (weighted mean of Kα1 and Kα2)
Structure: a GGA-PBE-relaxed structure

Principal peaks in the range 15 to 90 degrees two-theta, by angle:
- hkl 1 0 1, 16.02 deg, intensity 16
- hkl 2 0 2, 32.37 deg, intensity 100
- hkl 2 2 0, 37.03 deg, intensity 34
- hkl 0 0 4, 38.56 deg, intensity 15
- hkl 2 2 4, 54.53 deg, intensity 21
- hkl 4 2 2, 63.82 deg, intensity 26

Structural model:
Cell: 6.8662 6.8662 9.3388 Å, 90.00 90.00 90.00°
Space group I4/mmm (No. 139)
Asymmetric unit:
1 Pr 0.0000 0.0000 0.0000
2 Y 0.0000 0.5000 0.0000
3 Sc 0.0000 0.0000 0.5000
4 Sc 0.2500 0.2500 0.2500

=====

(11)
Theoretical powder diffractogram
Compound: TbY3Sb2
Radiation: Cu Kα (weighted mean of Kα1 and Kα2)
Structure: a GGA-PBE-relaxed structure

Principal peaks in the range 15 to 90 degrees two-theta, by angle:
- hkl 1 1 1, 30.07 deg, intensity 90
- hkl 0 0 3, 31.64 deg, intensity 37
- hkl 1 1 2, 35.33 deg, intensity 100
- hkl 2 0 0, 40.19 deg, intensity 57
- hkl 2 0 3, 52.03 deg, intensity 35
- hkl 2 2 0, 58.14 deg, intensity 28

Structural model:
Cell: 4.4871 4.4871 8.4836 Å, 90.00 90.00 90.00°
Space group P-4m2 (No. 115)
Asymmetric unit:
1 Tb 0.0000 0.0000 0.0000
2 Y 0.0000 0.5000 0.3515
3 Y 0.5000 0.5000 0.0000
4 Sb 0.0000 0.5000 0.7201

=====

(12)
Theoretical powder diffractogram
Compound: TbTm10Sc4
Radiation: Cu Kα (weighted mean of Kα1 and Kα2)
Structure: a GGA-PBE-relaxed structure

Principal peaks in the range 15 to 90 degrees two-theta, by angle:
- hkl 3 1 0, 22.96 deg, intensity 95
- hkl 1 1 2, 29.52 deg, intensity 45
- hkl 2 4 0, 32.70 deg, intensity 100
- hkl 1 3 2, 36.21 deg, intensity 86
- hkl 2 4 2, 43.31 deg, intensity 45
- hkl 5 1 2, 47.15 deg, intensity 47

Structural model:
Cell: 12.2486 12.2486 6.4595 Å, 90.00 90.00 90.00°
Space group I4/m (No. 87)
Asymmetric unit:
1 Tb 0.0000 0.0000 0.0000
2 Tm 0.0000 0.5000 0.2500
3 Tm 0.1228 0.7194 0.2457
4 Sc 0.0686 0.1745 0.5000

=====

(13)
Theoretical powder diffractogram
Compound: Sc3Si8Rh3
Radiation: Cu Kα (weighted mean of Kα1 and Kα2)
Structure: a GGA-PBE-relaxed structure

Principal peaks in the range 15 to 90 degrees two-theta, by angle:
- hkl 0 0 2, 24.19 deg, intensity 56
- hkl 3 1 0, 30.53 deg, intensity 100
- hkl 3 1 -2, 31.89 deg, intensity 81
- hkl 1 1 2, 36.04 deg, intensity 54
- hkl 6 0 -2, 37.59 deg, intensity 52
- hkl 0 2 0, 44.27 deg, intensity 67

Structural model:
Cell: 14.4179 4.0923 8.4439 Å, 90.00 119.32 90.00°
Space group C2/m (No. 12)
Asymmetric unit:
1 Sc 0.0000 0.0000 0.0000
2 Sc 0.2001 0.5000 0.6416
3 Si 0.0152 0.5000 0.7057
4 Si 0.1159 0.0000 0.3746
5 Si 0.1336 0.0000 0.8380
6 Si 0.1408 0.5000 0.2523
7 Rh 0.0000 0.0000 0.5000
8 Rh 0.1769 0.5000 0.0117